No. 1
Starting from a structure optimized by DFT (GGA-PBE), the powder diffraction line list of TePd10 was calculated for Cu Kα.

Top 10 peaks for 2θ from 15° to 90°, sorted by position:
| 2θ/deg | intensity | (hkl) |
| --- | --- | --- |
| 38.87 | 100 | 1 1 0 |
| 39.30 | 60 | 0 1 14 |
| 41.23 | 36 | 0 1 15 |
| 44.77 | 42 | 1 0 14 |
| 46.52 | 25 | 1 0 15 |
| 46.77 | 29 | 0 2 0 |
| 66.73 | 25 | 1 2 14 |
| 68.09 | 15 | 1 2 15 |
| 78.27 | 16 | 2 1 14 |
| 81.60 | 19 | 1 1 29 |

Atomic structure:
```
data_TePd10
_chemical_formula_sum 'Te2 Pd20'
_cell_length_a 2.8867
_cell_length_b 3.8855
_cell_length_c 39.7540
_cell_angle_alpha 90.00
_cell_angle_beta 90.00
_cell_angle_gamma 90.00
_space_group_name_H-M_alt 'P m m 2'
_space_group_IT_number 25
loop_
_space_group_symop_operation_xyz
'x,y,z'
'-x,-y,z'
'-x,y,z'
'x,-y,z'
loop_
_atom_site_label
_atom_site_type_symbol
_atom_site_fract_x
_atom_site_fract_y
_atom_site_fract_z
Te1 Te 0.0000 0.0000 0.0000
Te2 Te 0.5000 0.5000 0.2710
Pd1 Pd 0.0000 0.0000 0.3030
Pd2 Pd 0.0000 0.0000 0.3760
Pd3 Pd 0.0000 0.0000 0.4454
Pd4 Pd 0.0000 0.0000 0.5145
Pd5 Pd 0.0000 0.0000 0.5836
Pd6 Pd 0.0000 0.0000 0.6526
Pd7 Pd 0.0000 0.0000 0.7215
Pd8 Pd 0.0000 0.0000 0.7908
Pd9 Pd 0.0000 0.0000 0.8607
Pd10 Pd 0.0000 0.0000 0.9305
Pd11 Pd 0.5000 0.5000 0.3405
Pd12 Pd 0.5000 0.5000 0.4102
Pd13 Pd 0.5000 0.5000 0.4800
Pd14 Pd 0.5000 0.5000 0.5492
Pd15 Pd 0.5000 0.5000 0.6181
Pd16 Pd 0.5000 0.5000 0.6871
Pd17 Pd 0.5000 0.5000 0.7562
Pd18 Pd 0.5000 0.5000 0.8255
Pd19 Pd 0.5000 0.5000 0.8950
Pd20 Pd 0.5000 0.5000 0.9679
```

No. 2
Starting from a structure optimized by DFT (GGA-PBE), the powder diffraction line list of LaNd2Mg3CuPt2 was calculated for Cu Kα.

Top 10 peaks for 2θ from 15° to 90°, sorted by position:
| 2θ/deg | intensity | (hkl) |
| --- | --- | --- |
| 23.21 | 13 | 0 0 2 |
| 23.32 | 26 | 0 3 1 |
| 31.94 | 100 | 1 3 1 |
| 34.73 | 54 | 1 2 2 |
| 34.84 | 27 | 1 4 0 |
| 35.96 | 15 | 0 5 1 |
| 40.84 | 20 | 0 3 3 |
| 42.31 | 16 | 1 5 1 |
| 43.94 | 20 | 2 0 0 |
| 65.62 | 13 | 1 7 3 |

Atomic structure:
```
data_LaNd2Mg3CuPt2
_chemical_formula_sum 'La2 Nd4 Mg6 Cu2 Pt4'
_cell_length_a 4.1214
_cell_length_b 13.1939
_cell_length_c 7.6659
_cell_angle_alpha 90.00
_cell_angle_beta 90.00
_cell_angle_gamma 90.00
_space_group_name_H-M_alt 'A m m 2'
_space_group_IT_number 38
loop_
_space_group_symop_operation_xyz
'x,y,z'
'-x,-y,z'
'-x,y,z'
'x,-y,z'
'x,y+1/2,z+1/2'
'-x,-y+1/2,z+1/2'
'-x,y+1/2,z+1/2'
'x,-y+1/2,z+1/2'
loop_
_atom_site_label
_atom_site_type_symbol
_atom_site_fract_x
_atom_site_fract_y
_atom_site_fract_z
La1 La 0.0000 0.0000 0.0000
Nd1 Nd 0.0000 0.2070 0.6257
Mg1 Mg 0.5000 0.0000 0.6549
Mg2 Mg 0.5000 0.1218 0.2991
Cu1 Cu 0.0000 0.0000 0.4198
Pt1 Pt 0.5000 0.1661 0.9191
```